Record 1
The following is a simulated X-ray powder pattern of Tb3ThC8. It was derived from a PBE-relaxed structure, using Cu Ka.
Peak positions follow from Bragg's law for the DFT cell and can differ from measured ones.

Main lines, in order of falling intensity (2θ = 10–80°):
Position (°2θ), I/Imax, (hkl)
29.24, 100, 1 1 2
47.57, 58, 3 1 2
25.70, 58, 2 0 0
36.67, 33, 2 2 0
53.90, 20, 2 0 4
73.81, 15, 5 1 2
78.85, 14, 4 2 4
59.65, 13, 4 2 0
60.65, 13, 2 2 4
61.53, 12, 3 3 2

Cell and atoms:
Cell: 6.9317 6.9317 7.8086 Å, 90.00 90.00 90.00°
Space group I-42m (No. 121)
One atom of each set of equivalent atoms:
1 Tb 0.0000 0.0000 0.0000 [2 per cell]
2 Tb 0.0000 0.5000 0.2500 [4 per cell]
3 Th 0.0000 0.0000 0.5000 [2 per cell]
4 C 0.1636 0.1636 0.2564 [8 per cell]
5 C 0.2332 0.2332 0.8628 [8 per cell]



Record 2
The following is a simulated X-ray powder pattern of LiAlPb2Se4. It was derived from a PBE-relaxed structure, using Cu Ka.
Peak positions follow from Bragg's law for the DFT cell and can differ from measured ones.

Main lines, in order of falling intensity (2θ = 10–80°):
Position (°2θ), I/Imax, (hkl)
27.03, 100, 2 1 0
26.09, 98, 0 1 2
28.05, 78, 0 1 -1
16.19, 60, 0 1 1
16.39, 56, 1 1 0
45.90, 46, 0 0 3
15.51, 43, 1 0 0
34.84, 42, 0 2 0
30.11, 37, 0 2 1
28.58, 35, 1 -1 0

Cell and atoms:
Cell: 6.6362 6.7891 6.8841 Å, 61.32 84.86 61.18°
Space group P1 (No. 1)
One atom of each set of equivalent atoms:
1 Li 0.0000 0.0000 0.0000 [1 per cell]
2 Al 0.7527 0.4858 0.2479 [1 per cell]
3 Pb 0.3563 0.4323 0.8675 [1 per cell]
4 Pb 0.5906 0.9782 0.5834 [1 per cell]
5 Se 0.3647 0.5526 0.2037 [1 per cell]
6 Se 0.7044 0.8796 0.2143 [1 per cell]
7 Se 0.9265 0.4290 0.9418 [1 per cell]
8 Se 0.9597 0.0822 0.5939 [1 per cell]



Record 3
The following is a simulated X-ray powder pattern of CeMg9Pd2. It was derived from a PBE-relaxed structure, using Cu Ka.
Peak positions follow from Bragg's law for the DFT cell and can differ from measured ones.

Main lines, in order of falling intensity (2θ = 10–80°):
Position (°2θ), I/Imax, (hkl)
20.64, 100, 2 1 1
29.96, 66, 3 2 1
33.90, 53, 3 1 2
41.99, 43, 4 2 2
30.56, 32, 4 0 0
36.46, 31, 1 0 3
34.27, 31, 4 2 0
43.33, 23, 5 2 1
28.10, 21, 2 0 2
53.28, 21, 2 2 4

Cell and atoms:
Cell: 11.7014 11.7014 7.5620 Å, 90.00 90.00 90.00°
Space group I4_1/amd (No. 141, origin choice 2)
One atom of each set of equivalent atoms:
1 Ce 0.0000 0.2500 0.3750 [4 per cell]
2 Mg 0.0000 0.2500 0.8750 [4 per cell]
3 Mg 0.1219 0.0521 0.6881 [32 per cell]
4 Pd 0.0000 0.0000 0.0000 [8 per cell]